Ba4NaRh2: simulated powder XRD pattern (Cu Kα, 1.54184 Å), based on a crystal structure in Alexandria, relaxed with PBE.
Neutral-atom scattering factors, no anomalous dispersion.

Crystal structure
Unit cell a=14.2650 b=9.9505 c=10.0916 alpha=90.00 beta=134.91 gamma=90.00
Space group C2 (No. 5)
Inequivalent atoms, fractional coordinates:
Ba 0.0710 0.0000 0.2473 x4
Ba 0.0713 0.4267 0.3948 x4
Ba 0.1764 0.6759 0.1053 x4
Ba 0.1760 0.7506 0.7474 x4
Na 0.0000 0.0900 0.5000 x2
Na 0.0000 0.3370 0.0000 x2
Rh 0.1519 0.7137 0.4022 x4
Rh 0.2499 0.4628 0.9011 x4

The 10 most intense peaks (2θ from 10° to 80°), low angle first:
2θ (°)  I/Imax
12.49  25
25.13  22
27.97  100
28.32  35
33.24  40
33.34  32
42.24  18
45.82  14
46.26  20
57.84  18